No. 1
The following is a calculated XRD peak list of Pr2SeO2. It was derived from a cell relaxed with GGA-PBE, using Cu Kα (λ = 1.5418 Å).
Neutral-atom scattering factors, no anomalous dispersion.

Atomic structure:
```
data_Pr2SeO2
_symmetry_space_group_name_H-M 'P 1'
_symmetry_Int_Tables_number 1
_symmetry_space_group_name_Hall 'P 1'
_cell_length_a 4.055
_cell_length_b 4.055
_cell_length_c 7.127
_cell_angle_alpha 90.00
_cell_angle_beta 90.00
_cell_angle_gamma 120.00
loop_
_atom_site_label
_atom_site_type_symbol
_atom_site_fract_x
_atom_site_fract_y
_atom_site_fract_z
Pr1 Pr 0.333 0.667 0.212
Pr2 Pr 0.667 0.333 0.788
Se1 Se 0.000 0.000 0.500
O1 O 0.333 0.667 0.874
O2 O 0.667 0.333 0.126
```

Principal peaks in the range 15° ≤ 2θ ≤ 90°, in order of falling intensity:
two_theta	intensity
28.33	100.0
35.90	41.9
44.70	35.5
46.13	17.5
53.77	17.0
59.98	15.5
72.43	14.1
24.99	10.7
37.87	10.3
58.61	10.2

No. 2
The following is a calculated XRD peak list of Pr4Se3O4. It was derived from a cell relaxed with GGA-PBE, using Cu Kα (λ = 1.5418 Å).
Neutral-atom scattering factors, no anomalous dispersion.

Atomic structure:
```
data_Pr4Se3O4
_symmetry_space_group_name_H-M 'P 1'
_symmetry_Int_Tables_number 1
_symmetry_space_group_name_Hall 'P 1'
_cell_length_a 8.542
_cell_length_b 6.889
_cell_length_c 6.889
_cell_angle_alpha 34.38
_cell_angle_beta 90.00
_cell_angle_gamma 90.00
loop_
_atom_site_label
_atom_site_type_symbol
_atom_site_fract_x
_atom_site_fract_y
_atom_site_fract_z
Pr1 Pr 0.000 0.000 0.000
Pr2 Pr 0.238 0.682 0.682
Pr3 Pr 0.500 0.014 0.014
Pr4 Pr 0.762 0.682 0.682
Se1 Se 0.000 0.313 0.313
Se2 Se 0.351 0.354 0.354
Se3 Se 0.649 0.354 0.354
O1 O 0.000 0.587 0.587
O2 O 0.244 0.087 0.087
O3 O 0.500 0.612 0.612
O4 O 0.756 0.087 0.087
```

Principal peaks in the range 15° ≤ 2θ ≤ 90°, in order of falling intensity:
two_theta	intensity
29.93	100.0
24.85	53.6
31.09	53.3
34.38	37.4
46.24	23.0
44.49	20.0
57.41	17.1
52.70	16.7
58.19	15.3
41.15	15.0

No. 3
The following is a calculated XRD peak list of PrSiO4. It was derived from a cell relaxed with GGA-PBE, using Cu Kα (λ = 1.5418 Å).
Neutral-atom scattering factors, no anomalous dispersion.

Atomic structure:
```
data_PrSiO4
_symmetry_space_group_name_H-M 'P 1'
_symmetry_Int_Tables_number 1
_symmetry_space_group_name_Hall 'P 1'
_cell_length_a 6.082
_cell_length_b 6.082
_cell_length_c 6.082
_cell_angle_alpha 106.38
_cell_angle_beta 106.38
_cell_angle_gamma 115.85
loop_
_atom_site_label
_atom_site_type_symbol
_atom_site_fract_x
_atom_site_fract_y
_atom_site_fract_z
Pr1 Pr 0.375 0.625 0.750
Pr2 Pr 0.625 0.375 0.250
Si1 Si 0.125 0.875 0.250
Si2 Si 0.875 0.125 0.750
O1 O 0.140 0.715 0.425
O2 O 0.211 0.285 0.925
O3 O 0.285 0.211 0.425
O4 O 0.285 0.860 0.075
O5 O 0.715 0.140 0.925
O6 O 0.715 0.789 0.575
O7 O 0.789 0.715 0.075
O8 O 0.860 0.285 0.575
```

Principal peaks in the range 15° ≤ 2θ ≤ 90°, in order of falling intensity:
two_theta	intensity
24.43	100.0
32.73	67.0
48.53	55.9
18.35	55.7
30.73	22.9
39.64	22.5
47.11	21.8
34.82	19.7
61.11	16.5
43.85	14.7

No. 4
The following is a calculated XRD peak list of Pr2Si2O7. It was derived from a cell relaxed with GGA-PBE, using Cu Kα (λ = 1.5418 Å).
Neutral-atom scattering factors, no anomalous dispersion.

Atomic structure:
```
data_Pr2Si2O7
_symmetry_space_group_name_H-M 'P 1'
_symmetry_Int_Tables_number 1
_symmetry_space_group_name_Hall 'P 1'
_cell_length_a 5.502
_cell_length_b 8.783
_cell_length_c 14.241
_cell_angle_alpha 90.00
_cell_angle_beta 112.34
_cell_angle_gamma 90.00
loop_
_atom_site_label
_atom_site_type_symbol
_atom_site_fract_x
_atom_site_fract_y
_atom_site_fract_z
Pr1 Pr 0.020 0.188 0.267
Pr2 Pr 0.020 0.312 0.767
Pr3 Pr 0.331 0.106 0.589
Pr4 Pr 0.331 0.394 0.089
Pr5 Pr 0.669 0.606 0.911
Pr6 Pr 0.669 0.894 0.411
Pr7 Pr 0.980 0.688 0.233
Pr8 Pr 0.980 0.812 0.733
Si1 Si 0.245 0.747 0.026
Si2 Si 0.245 0.753 0.526
Si3 Si 0.460 0.503 0.679
Si4 Si 0.460 0.997 0.179
Si5 Si 0.540 0.003 0.821
Si6 Si 0.540 0.497 0.321
Si7 Si 0.755 0.247 0.474
Si8 Si 0.755 0.253 0.974
O1 O 0.051 0.745 0.906
O2 O 0.051 0.755 0.406
O3 O 0.080 0.644 0.081
O4 O 0.080 0.856 0.581
O5 O 0.258 0.088 0.760
O6 O 0.258 0.412 0.260
O7 O 0.287 0.519 0.752
O8 O 0.287 0.981 0.252
O9 O 0.297 0.578 0.568
O10 O 0.297 0.922 0.068
O11 O 0.459 0.673 0.330
O12 O 0.459 0.827 0.830
O13 O 0.478 0.153 0.450
O14 O 0.478 0.347 0.950
O15 O 0.522 0.653 0.050
O16 O 0.522 0.847 0.550
O17 O 0.541 0.173 0.170
O18 O 0.541 0.327 0.670
O19 O 0.703 0.078 0.932
O20 O 0.703 0.422 0.432
O21 O 0.713 0.019 0.748
O22 O 0.713 0.481 0.248
O23 O 0.742 0.588 0.740
O24 O 0.742 0.912 0.240
O25 O 0.920 0.144 0.419
O26 O 0.920 0.356 0.919
O27 O 0.949 0.245 0.594
O28 O 0.949 0.255 0.094
```

Principal peaks in the range 15° ≤ 2θ ≤ 90°, in order of falling intensity:
two_theta	intensity
25.93	100.0
26.05	47.9
26.84	44.0
28.75	32.3
32.55	25.7
43.87	22.8
44.08	19.8
49.35	16.8
41.12	15.6
41.70	15.1

No. 5
The following is a calculated XRD peak list of PrYSi2O7. It was derived from a cell relaxed with GGA-PBE, using Cu Kα (λ = 1.5418 Å).
Neutral-atom scattering factors, no anomalous dispersion.

Atomic structure:
```
data_PrYSi2O7
_symmetry_space_group_name_H-M 'P 1'
_symmetry_Int_Tables_number 1
_symmetry_space_group_name_Hall 'P 1'
_cell_length_a 6.496
_cell_length_b 9.043
_cell_length_c 12.610
_cell_angle_alpha 90.00
_cell_angle_beta 114.04
_cell_angle_gamma 90.00
loop_
_atom_site_label
_atom_site_type_symbol
_atom_site_fract_x
_atom_site_fract_y
_atom_site_fract_z
Pr1 Pr 0.007 0.143 0.290
Pr2 Pr 0.007 0.357 0.790
Pr3 Pr 0.993 0.643 0.210
Pr4 Pr 0.993 0.857 0.710
Y1 Y 0.363 0.134 0.631
Y2 Y 0.363 0.366 0.131
Y3 Y 0.637 0.634 0.869
Y4 Y 0.637 0.866 0.369
Si1 Si 0.193 0.676 0.978
Si2 Si 0.193 0.824 0.478
Si3 Si 0.418 0.100 0.936
Si4 Si 0.418 0.400 0.436
Si5 Si 0.582 0.600 0.564
Si6 Si 0.582 0.900 0.064
Si7 Si 0.807 0.176 0.522
Si8 Si 0.807 0.324 0.022
O1 O 0.037 0.249 0.621
O2 O 0.037 0.251 0.121
O3 O 0.165 0.577 0.080
O4 O 0.165 0.923 0.580
O5 O 0.265 0.224 0.969
O6 O 0.265 0.276 0.469
O7 O 0.277 0.052 0.799
O8 O 0.277 0.448 0.299
O9 O 0.291 0.692 0.754
O10 O 0.291 0.808 0.254
O11 O 0.305 0.562 0.912
O12 O 0.305 0.938 0.412
O13 O 0.356 0.691 0.553
O14 O 0.356 0.809 0.053
O15 O 0.644 0.191 0.947
O16 O 0.644 0.309 0.447
O17 O 0.695 0.062 0.588
O18 O 0.695 0.438 0.088
O19 O 0.709 0.192 0.746
O20 O 0.709 0.308 0.246
O21 O 0.723 0.552 0.701
O22 O 0.723 0.948 0.201
O23 O 0.735 0.724 0.531
O24 O 0.735 0.776 0.031
O25 O 0.835 0.077 0.420
O26 O 0.835 0.423 0.920
O27 O 0.963 0.749 0.879
O28 O 0.963 0.751 0.379
```

Principal peaks in the range 15° ≤ 2θ ≤ 90°, in order of falling intensity:
two_theta	intensity
27.73	100.0
24.03	86.8
30.12	55.5
30.55	44.4
39.70	31.9
39.85	30.5
25.58	28.9
16.88	25.8
16.52	22.0
25.20	20.3

No. 6
The following is a calculated XRD peak list of PrYSi2O7. It was derived from a cell relaxed with GGA-PBE, using Cu Kα (λ = 1.5418 Å).
Neutral-atom scattering factors, no anomalous dispersion.

Atomic structure:
```
data_PrYSi2O7
_symmetry_space_group_name_H-M 'P 1'
_symmetry_Int_Tables_number 1
_symmetry_space_group_name_Hall 'P 1'
_cell_length_a 6.436
_cell_length_b 8.990
_cell_length_c 11.565
_cell_angle_alpha 89.08
_cell_angle_beta 84.71
_cell_angle_gamma 89.17
loop_
_atom_site_label
_atom_site_type_symbol
_atom_site_fract_x
_atom_site_fract_y
_atom_site_fract_z
Pr1 Pr 0.191 0.331 0.280
Pr2 Pr 0.254 0.904 0.227
Pr3 Pr 0.746 0.096 0.773
Pr4 Pr 0.809 0.669 0.720
Y1 Y 0.211 0.895 0.885
Y2 Y 0.275 0.392 0.618
Y3 Y 0.725 0.608 0.382
Y4 Y 0.789 0.105 0.115
Si1 Si 0.021 0.396 0.925
Si2 Si 0.188 0.674 0.457
Si3 Si 0.334 0.178 0.014
Si4 Si 0.484 0.885 0.560
Si5 Si 0.516 0.115 0.440
Si6 Si 0.666 0.822 0.986
Si7 Si 0.812 0.326 0.543
Si8 Si 0.979 0.604 0.075
O1 O 0.011 0.129 0.251
O2 O 0.037 0.726 0.358
O3 O 0.053 0.492 0.806
O4 O 0.080 0.601 0.579
O5 O 0.150 0.735 0.059
O6 O 0.157 0.049 0.048
O7 O 0.233 0.343 0.982
O8 O 0.283 0.836 0.494
O9 O 0.328 0.236 0.463
O10 O 0.364 0.545 0.415
O11 O 0.441 0.100 0.896
O12 O 0.466 0.948 0.689
O13 O 0.467 0.219 0.121
O14 O 0.498 0.293 0.732
O15 O 0.502 0.707 0.268
O16 O 0.533 0.781 0.879
O17 O 0.534 0.052 0.311
O18 O 0.559 0.900 0.104
O19 O 0.636 0.455 0.585
O20 O 0.672 0.764 0.537
O21 O 0.717 0.164 0.506
O22 O 0.767 0.657 0.018
O23 O 0.843 0.951 0.952
O24 O 0.850 0.265 0.941
O25 O 0.920 0.399 0.421
O26 O 0.947 0.508 0.194
O27 O 0.963 0.274 0.642
O28 O 0.989 0.871 0.749
```

Principal peaks in the range 15° ≤ 2θ ≤ 90°, in order of falling intensity:
two_theta	intensity
27.81	100.0
24.34	82.0
24.04	79.8
30.40	72.4
16.44	66.8
25.94	57.7
30.88	48.8
28.38	46.9
29.97	43.4
28.18	38.6

No. 7
The following is a calculated XRD peak list of PrYSi2O7. It was derived from a cell relaxed with GGA-PBE, using Cu Kα (λ = 1.5418 Å).
Neutral-atom scattering factors, no anomalous dispersion.

Atomic structure:
```
data_PrYSi2O7
_symmetry_space_group_name_H-M 'P 1'
_symmetry_Int_Tables_number 1
_symmetry_space_group_name_Hall 'P 1'
_cell_length_a 5.443
_cell_length_b 8.673
_cell_length_c 13.981
_cell_angle_alpha 90.00
_cell_angle_beta 112.47
_cell_angle_gamma 90.00
loop_
_atom_site_label
_atom_site_type_symbol
_atom_site_fract_x
_atom_site_fract_y
_atom_site_fract_z
Pr1 Pr 0.026 0.191 0.272
Pr2 Pr 0.026 0.309 0.772
Pr3 Pr 0.974 0.691 0.228
Pr4 Pr 0.974 0.809 0.728
Y1 Y 0.326 0.104 0.592
Y2 Y 0.326 0.396 0.092
Y3 Y 0.674 0.604 0.908
Y4 Y 0.674 0.896 0.408
Si1 Si 0.243 0.747 0.021
Si2 Si 0.243 0.753 0.521
Si3 Si 0.462 0.006 0.179
Si4 Si 0.462 0.494 0.679
Si5 Si 0.538 0.506 0.321
Si6 Si 0.538 0.994 0.821
Si7 Si 0.757 0.247 0.479
Si8 Si 0.757 0.253 0.979
O1 O 0.027 0.750 0.403
O2 O 0.027 0.750 0.903
O3 O 0.089 0.636 0.078
O4 O 0.089 0.864 0.578
O5 O 0.248 0.077 0.761
O6 O 0.248 0.423 0.261
O7 O 0.292 0.578 0.569
O8 O 0.292 0.922 0.069
O9 O 0.305 0.511 0.759
O10 O 0.305 0.989 0.259
O11 O 0.461 0.684 0.333
O12 O 0.461 0.816 0.833
O13 O 0.477 0.157 0.461
O14 O 0.477 0.343 0.961
O15 O 0.523 0.657 0.039
O16 O 0.523 0.843 0.539
O17 O 0.539 0.184 0.167
O18 O 0.539 0.316 0.667
O19 O 0.695 0.011 0.741
O20 O 0.695 0.489 0.241
O21 O 0.708 0.078 0.931
O22 O 0.708 0.422 0.431
O23 O 0.752 0.577 0.739
O24 O 0.752 0.923 0.239
O25 O 0.911 0.136 0.422
O26 O 0.911 0.364 0.922
O27 O 0.973 0.250 0.097
O28 O 0.973 0.250 0.597
```

Principal peaks in the range 15° ≤ 2θ ≤ 90°, in order of falling intensity:
two_theta	intensity
26.28	100.0
27.18	72.0
26.49	52.2
29.23	28.2
32.91	28.2
44.69	24.0
44.46	23.4
42.26	21.2
47.27	19.5
33.76	17.5